This entry pairs a crystal structure of BaCd3Sn with its calculated XRD peak list. Radiation: Cu Kα (λ = 1.5418 Å). Structure: the GGA-PBE geometry in OQMD.
Kinematic intensities with the Lorentz-polarization factor, no thermal factor.

Main lines, sorted by position (2θ from 10° to 90°):
2theta, d (Å), I/Imax
28.31, 3.153, 68.6
29.82, 2.996, 100.0
29.92, 2.986, 32.8
37.29, 2.411, 84.8
39.08, 2.305, 33.5
40.66, 2.219, 43.7
47.39, 1.918, 16.5
47.56, 1.912, 18.4
56.27, 1.635, 16.7
56.41, 1.631, 16.6
62.61, 1.484, 15.4
72.03, 1.311, 21.3

Crystal structure
Unit cell a=6.8033 b=6.8372 c=7.1107 alpha=90.00 beta=118.50 gamma=90.00
Space group Cm (No. 8)
Inequivalent atoms, fractional coordinates:
Ba1 0.0000 0.0000 0.0000
Cd1 0.0008 0.2492 0.5016
Cd2 0.1184 0.5000 0.2373
Sn1 0.3894 0.0000 0.7779